This entry pairs a crystal structure of Rb2RuO4 with its calculated X-ray diffraction stick pattern. Radiation: Cu Kα (weighted mean of Kα1 and Kα2). Structure: the PBE geometry in the Materials Project.

Cell and atoms:
Cell: 8.2413 6.3889 11.2564 Å, 90.00 90.00 90.00°
Element x y z (fractional)
Rb (0.0066, 0.2500, 0.2049)
Rb (0.1634, 0.7500, 0.4190)
Rb (0.3366, 0.2500, 0.9190)
Rb (0.4934, 0.7500, 0.7049)
Rb (0.5066, 0.2500, 0.2951)
Rb (0.6634, 0.7500, 0.0810)
Rb (0.8366, 0.2500, 0.5810)
Rb (0.9934, 0.7500, 0.7951)
Ru (0.2209, 0.7500, 0.0786)
Ru (0.2791, 0.2500, 0.5786)
Ru (0.7209, 0.7500, 0.4214)
Ru (0.7791, 0.2500, 0.9214)
O (0.0042, 0.7500, 0.0759)
O (0.1950, 0.2500, 0.4302)
O (0.2025, 0.0204, 0.6526)
O (0.2025, 0.4796, 0.6526)
O (0.2975, 0.5204, 0.1526)
O (0.2975, 0.9796, 0.1526)
O (0.3050, 0.7500, 0.9302)
O (0.4958, 0.2500, 0.5759)
O (0.5042, 0.7500, 0.4241)
O (0.6950, 0.2500, 0.0698)
O (0.7025, 0.0204, 0.8474)
O (0.7025, 0.4796, 0.8474)
O (0.7975, 0.5204, 0.3474)
O (0.7975, 0.9796, 0.3474)
O (0.8050, 0.7500, 0.5698)
O (0.9958, 0.2500, 0.9241)

Main lines, low angle first (2θ = 10–90°):
2θ/deg  d/Å  intensity
19.27  4.607  144
25.73  3.463  170
26.81  3.325  321
26.94  3.310  650
27.57  3.235  1000
27.93  3.194  605
32.26  2.775  182
36.46  2.464  288
39.11  2.304  300
43.19  2.095  143
48.47  1.878  160
49.20  1.852  208

This entry pairs a crystal structure of RbSO4 with its calculated X-ray diffraction stick pattern. Radiation: Cu Kα (weighted mean of Kα1 and Kα2). Structure: the PBE geometry in the Materials Project.

Cell and atoms:
Cell: 16.2650 5.4019 14.2145 Å, 90.00 114.59 90.00°
Element x y z (fractional)
Rb (0.0554, 0.1315, 0.1564)
Rb (0.0554, 0.3685, 0.6564)
Rb (0.2792, 0.7145, 0.5095)
Rb (0.2792, 0.7855, 0.0095)
Rb (0.7208, 0.2145, 0.9905)
Rb (0.7208, 0.2855, 0.4905)
Rb (0.9446, 0.6315, 0.3436)
Rb (0.9446, 0.8685, 0.8436)
S (0.1319, 0.1978, 0.4557)
S (0.1319, 0.3022, 0.9557)
S (0.4539, 0.5633, 0.3381)
S (0.4539, 0.9367, 0.8381)
S (0.5461, 0.0633, 0.1619)
S (0.5461, 0.4367, 0.6619)
S (0.8681, 0.6978, 0.0443)
S (0.8681, 0.8022, 0.5443)
O (0.0508, 0.1210, 0.3617)
O (0.0508, 0.3790, 0.8617)
O (0.1181, 0.0484, 0.9884)
O (0.1181, 0.4516, 0.4884)
O (0.1454, 0.0192, 0.5416)
O (0.1454, 0.4808, 0.0416)
O (0.2142, 0.1982, 0.4332)
O (0.2142, 0.3018, 0.9332)
O (0.2587, 0.1873, 0.7240)
O (0.2587, 0.3127, 0.2240)
O (0.2845, 0.0170, 0.7887)
O (0.2845, 0.4830, 0.2887)
O (0.4334, 0.6242, 0.2310)
O (0.4334, 0.8758, 0.7310)
O (0.4646, 0.7325, 0.9089)
O (0.4646, 0.7675, 0.4089)
O (0.5354, 0.2325, 0.5911)
O (0.5354, 0.2675, 0.0911)
O (0.5666, 0.1242, 0.2690)
O (0.5666, 0.3758, 0.7690)
O (0.7155, 0.5170, 0.7113)
O (0.7155, 0.9830, 0.2113)
O (0.7413, 0.6873, 0.7760)
O (0.7413, 0.8127, 0.2760)
O (0.7858, 0.6982, 0.0668)
O (0.7858, 0.8018, 0.5668)
O (0.8546, 0.5192, 0.9584)
O (0.8546, 0.9808, 0.4584)
O (0.8819, 0.5484, 0.5116)
O (0.8819, 0.9516, 0.0116)
O (0.9492, 0.6210, 0.1383)
O (0.9492, 0.8790, 0.6383)

Main lines, low angle first (2θ = 10–90°):
2θ/deg  d/Å  intensity
19.82  4.480  377
20.36  4.362  1000
21.70  4.095  451
24.44  3.642  275
25.07  3.553  917
27.33  3.263  317
27.63  3.228  283
27.72  3.219  409
33.92  2.643  267
35.00  2.563  285
40.23  2.242  253
41.98  2.152  258

This entry pairs a crystal structure of RbSO3 with its calculated X-ray diffraction stick pattern. Radiation: Cu Kα (weighted mean of Kα1 and Kα2). Structure: the PBE geometry in the Materials Project.

Cell and atoms:
Cell: 10.3325 10.3325 6.6850 Å, 90.00 90.00 120.00°
Element x y z (fractional)
Rb (0.0000, 0.2950, 0.0000)
Rb (0.0000, 0.6192, 0.5000)
Rb (0.2950, 0.0000, 0.0000)
Rb (0.3808, 0.3808, 0.5000)
Rb (0.6192, 0.0000, 0.5000)
Rb (0.7050, 0.7050, 0.0000)
S (0.0000, 0.0000, 0.3331)
S (0.0000, 0.0000, 0.6669)
S (0.3333, 0.6667, 0.0965)
S (0.3333, 0.6667, 0.7653)
S (0.6667, 0.3333, 0.2347)
S (0.6667, 0.3333, 0.9035)
O (0.0354, 0.8836, 0.2759)
O (0.1164, 0.1519, 0.2759)
O (0.1519, 0.1164, 0.7241)
O (0.1782, 0.6206, 0.1496)
O (0.2104, 0.5178, 0.7073)
O (0.3075, 0.7896, 0.7073)
O (0.3794, 0.5576, 0.1496)
O (0.4424, 0.8218, 0.1496)
O (0.4822, 0.6925, 0.7073)
O (0.5178, 0.2104, 0.2927)
O (0.5576, 0.3794, 0.8504)
O (0.6206, 0.1782, 0.8504)
O (0.6925, 0.4822, 0.2927)
O (0.7896, 0.3075, 0.2927)
O (0.8218, 0.4424, 0.8504)
O (0.8481, 0.9646, 0.2759)
O (0.8836, 0.0354, 0.7241)
O (0.9646, 0.8481, 0.7241)

Main lines, low angle first (2θ = 10–90°):
2θ/deg  d/Å  intensity
21.74  4.088  1000
23.93  3.718  233
29.96  2.983  381
31.89  2.806  361
36.19  2.482  98
37.32  2.409  197
37.84  2.377  154
38.70  2.327  100
40.54  2.225  175
44.28  2.046  194
46.26  1.962  149
61.44  1.509  132

This entry pairs a crystal structure of RbSO4 with its calculated X-ray diffraction stick pattern. Radiation: Cu Kα (weighted mean of Kα1 and Kα2). Structure: the PBE geometry in the Materials Project.

Cell and atoms:
Cell: 7.4698 7.9204 9.7980 Å, 90.00 129.46 90.00°
Element x y z (fractional)
Rb (0.1288, 0.1825, 0.2301)
Rb (0.1288, 0.3175, 0.7301)
Rb (0.8712, 0.6825, 0.2699)
Rb (0.8712, 0.8175, 0.7699)
S (0.3491, 0.6858, 0.2451)
S (0.3491, 0.8142, 0.7451)
S (0.6509, 0.1858, 0.2549)
S (0.6509, 0.3142, 0.7549)
O (0.1670, 0.6827, 0.6709)
O (0.1670, 0.8173, 0.1709)
O (0.3092, 0.5467, 0.3264)
O (0.3092, 0.9533, 0.8264)
O (0.3388, 0.6116, 0.1008)
O (0.3388, 0.8884, 0.6008)
O (0.4165, 0.2430, 0.6145)
O (0.4165, 0.2570, 0.1145)
O (0.5835, 0.7430, 0.8855)
O (0.5835, 0.7570, 0.3855)
O (0.6612, 0.1116, 0.3992)
O (0.6612, 0.3884, 0.8992)
O (0.6908, 0.0467, 0.1736)
O (0.6908, 0.4533, 0.6736)
O (0.8330, 0.1827, 0.8291)
O (0.8330, 0.3173, 0.3291)

Main lines, low angle first (2θ = 10–90°):
2θ/deg  d/Å  intensity
22.45  3.960  495
23.52  3.782  869
25.39  3.508  767
26.68  3.341  1000
27.55  3.237  315
32.74  2.735  242
33.06  2.710  360
36.14  2.486  153
38.48  2.339  303
42.67  2.119  395
44.98  2.015  162
53.37  1.717  160

This entry pairs a crystal structure of Rb3S2O8 with its calculated X-ray diffraction stick pattern. Radiation: Cu Kα (weighted mean of Kα1 and Kα2). Structure: the PBE geometry in the Materials Project.

Cell and atoms:
Cell: 8.2763 8.2763 10.2452 Å, 101.76 101.76 42.58°
Element x y z (fractional)
Rb (0.0834, 0.5380, 0.3489)
Rb (0.2463, 0.7537, 0.7500)
Rb (0.4620, 0.9166, 0.1511)
Rb (0.5380, 0.0834, 0.8489)
Rb (0.7537, 0.2463, 0.2500)
Rb (0.9166, 0.4620, 0.6511)
S (0.1021, 0.6703, 0.0352)
S (0.3297, 0.8979, 0.4648)
S (0.6703, 0.1021, 0.5352)
S (0.8979, 0.3297, 0.9648)
O (0.0781, 0.6181, 0.8894)
O (0.1270, 0.1782, 0.9045)
O (0.1744, 0.7976, 0.0592)
O (0.1782, 0.1270, 0.4045)
O (0.2024, 0.8256, 0.4408)
O (0.3032, 0.4434, 0.1035)
O (0.3819, 0.9219, 0.6106)
O (0.4434, 0.3032, 0.6035)
O (0.5566, 0.6968, 0.3965)
O (0.6181, 0.0781, 0.3894)
O (0.6968, 0.5566, 0.8965)
O (0.7976, 0.1744, 0.5592)
O (0.8218, 0.8730, 0.5955)
O (0.8256, 0.2024, 0.9408)
O (0.8730, 0.8218, 0.0955)
O (0.9219, 0.3819, 0.1106)

Main lines, low angle first (2θ = 10–90°):
2θ/deg  d/Å  intensity
26.16  3.407  1000
26.35  3.382  518
29.73  3.005  355
30.10  2.969  735
35.80  2.508  144
38.19  2.357  114
38.63  2.331  111
40.14  2.246  317
40.44  2.230  204
43.77  2.068  270
50.99  1.791  110
63.10  1.473  146

This entry pairs a crystal structure of RbSO4 with its calculated X-ray diffraction stick pattern. Radiation: Cu Kα (weighted mean of Kα1 and Kα2). Structure: the PBE geometry in the Materials Project.

Cell and atoms:
Cell: 14.5808 4.8206 15.0673 Å, 90.00 121.05 90.00°
Element x y z (fractional)
Rb (0.1242, 0.1437, 0.4193)
Rb (0.1242, 0.3563, 0.9193)
Rb (0.3762, 0.7044, 0.3320)
Rb (0.3762, 0.7956, 0.8320)
Rb (0.6238, 0.2044, 0.1680)
Rb (0.6238, 0.2956, 0.6680)
Rb (0.8758, 0.6437, 0.0807)
Rb (0.8758, 0.8563, 0.5807)
S (0.1244, 0.2007, 0.1743)
S (0.1244, 0.2993, 0.6743)
S (0.3745, 0.7277, 0.5813)
S (0.3745, 0.7723, 0.0813)
S (0.6255, 0.2277, 0.9187)
S (0.6255, 0.2723, 0.4187)
S (0.8756, 0.7007, 0.3257)
S (0.8756, 0.7993, 0.8257)
O (0.0307, 0.1125, 0.1801)
O (0.0307, 0.3875, 0.6801)
O (0.1034, 0.0203, 0.6221)
O (0.1034, 0.4797, 0.1221)
O (0.1377, 0.0323, 0.0976)
O (0.1377, 0.4677, 0.5976)
O (0.2230, 0.2014, 0.2772)
O (0.2230, 0.2986, 0.7772)
O (0.2840, 0.6243, 0.4814)
O (0.2840, 0.8757, 0.9814)
O (0.3380, 0.5247, 0.1148)
O (0.3380, 0.9753, 0.6148)
O (0.4071, 0.5094, 0.6631)
O (0.4071, 0.9906, 0.1631)
O (0.4662, 0.6958, 0.0698)
O (0.4662, 0.8042, 0.5698)
O (0.5338, 0.1958, 0.4302)
O (0.5338, 0.3042, 0.9302)
O (0.5929, 0.0094, 0.8369)
O (0.5929, 0.4906, 0.3369)
O (0.6620, 0.0247, 0.3852)
O (0.6620, 0.4753, 0.8852)
O (0.7160, 0.1243, 0.0186)
O (0.7160, 0.3757, 0.5186)
O (0.7770, 0.7014, 0.2228)
O (0.7770, 0.7986, 0.7228)
O (0.8623, 0.5323, 0.4024)
O (0.8623, 0.9677, 0.9024)
O (0.8966, 0.5203, 0.8779)
O (0.8966, 0.9797, 0.3779)
O (0.9693, 0.6125, 0.3199)
O (0.9693, 0.8875, 0.8199)

Main lines, low angle first (2θ = 10–90°):
2θ/deg  d/Å  intensity
22.11  4.021  93
23.31  3.816  1000
23.62  3.767  432
26.36  3.381  89
27.65  3.226  199
28.58  3.123  288
33.42  2.681  515
36.29  2.475  130
37.36  2.407  94
37.98  2.369  129
41.98  2.152  129
53.80  1.704  115

This entry pairs a crystal structure of RbSO4 with its calculated X-ray diffraction stick pattern. Radiation: Cu Kα (weighted mean of Kα1 and Kα2). Structure: the PBE geometry in the Materials Project.

Cell and atoms:
Cell: 7.6104 7.9366 7.6717 Å, 90.00 112.14 90.00°
Element x y z (fractional)
Rb (0.2155, 0.0000, 0.4587)
Rb (0.2184, 0.2570, 0.9637)
Rb (0.7816, 0.7570, 0.0363)
Rb (0.7845, 0.5000, 0.5413)
S (0.2598, 0.7528, 0.9733)
S (0.2612, 0.5035, 0.4762)
S (0.7388, 0.0035, 0.5238)
S (0.7402, 0.2528, 0.0267)
O (0.1019, 0.6220, 0.3922)
O (0.1103, 0.6290, 0.8759)
O (0.1852, 0.8866, 0.0624)
O (0.2044, 0.3620, 0.5705)
O (0.3196, 0.4274, 0.3269)
O (0.3316, 0.8360, 0.8377)
O (0.4251, 0.6645, 0.1154)
O (0.4299, 0.5942, 0.6088)
O (0.5701, 0.0942, 0.3912)
O (0.5749, 0.1645, 0.8846)
O (0.6684, 0.3360, 0.1623)
O (0.6804, 0.9274, 0.6731)
O (0.7956, 0.8620, 0.4295)
O (0.8148, 0.3866, 0.9376)
O (0.8897, 0.1290, 0.1241)
O (0.8981, 0.1220, 0.6078)

Main lines, low angle first (2θ = 10–90°):
2θ/deg  d/Å  intensity
25.06  3.553  456
25.27  3.525  487
25.71  3.465  1000
28.15  3.170  408
32.20  2.780  97
32.75  2.735  420
36.27  2.477  99
39.69  2.271  237
40.06  2.251  116
41.61  2.171  118
43.59  2.076  182
57.01  1.615  104